MgTiMn5P6O24: computed X-ray powder pattern (Cu Kα (λ = 1.5418 Å)), based on the GGA+U geometry in the Materials Project.
Intensities are scaled so that the largest is 1000.

Largest 8 diffraction maxima, most intense first, 2θ = 10–80°:
2θ (°)  intensity
20.3  1000
24.3  545
20.4  470
35.7  392
23.1  322
23.0  316
24.0  287
23.7  276

Crystal structure
Cell: 8.648 8.688 8.765 Å, 60.46 62.12 89.48°
Space group P1 (No. 1)
Asymmetric unit:
Mg  0.000  0.000  0.000
Ti  0.632  0.884  0.232
Mn  0.185  0.412  0.191
Mn  0.212  0.716  0.545
Mn  0.353  0.125  0.748
Mn  0.752  0.262  0.485
Mn  0.797  0.605  0.798
P  0.003  0.706  0.293
P  0.487  0.506  0.284
P  0.501  0.797  0.696
P  0.502  0.230  0.985
P  0.965  0.991  0.721
P  0.985  0.296  0.009
O  0.017  0.681  0.471
O  0.139  0.044  0.716
O  0.153  0.248  0.890
O  0.163  0.867  0.084
O  0.299  0.432  0.329
O  0.321  0.262  0.103
O  0.323  0.660  0.895
O  0.462  0.666  0.332
O  0.476  0.822  0.513
O  0.492  0.031  0.154
O  0.529  0.220  0.804
O  0.530  0.359  0.440
O  0.540  0.993  0.650
O  0.642  0.592  0.065
O  0.672  0.365  0.906
O  0.672  0.733  0.667
O  0.806  0.934  0.947
O  0.819  0.127  0.120
O  0.826  0.762  0.293
O  0.940  0.148  0.558
O  0.979  0.825  0.695
O  0.980  0.311  0.179
O  0.988  0.486  0.844
O  0.988  0.519  0.307